For Cs2ZrAl2Mo6O24, DFT lattice parameters and positions (PBE+U) gives the simulated X-ray powder pattern in this record (Cu Kα).
Intensities are scaled so that the largest is 100.

Largest 6 diffraction maxima, low angle first, 10 to 90 degrees two-theta:
2θ/deg, d (Å), intensity
21.38, 4.155, 56
21.90, 4.059, 31
25.12, 3.545, 35
26.85, 3.320, 100
27.22, 3.277, 53
31.78, 2.816, 34

Atomic structure:
```
Cs2ZrAl2Mo6O24
1.0
8.5716 0.0000 0.0000
-1.4181 8.4838 0.0000
-1.4270 -1.6730 8.5811
Cs Zr Al Mo O
2 1 2 6 24
direct
0.1715 0.1678 0.1773 Cs
0.8285 0.8322 0.8227 Cs
0.5000 0.5000 0.0000 Zr
0.0000 0.5000 0.5000 Al
0.5000 0.0000 0.5000 Al
0.2083 0.2240 0.6517 Mo
0.2179 0.6852 0.2259 Mo
0.3189 0.7911 0.7636 Mo
0.6811 0.2089 0.2364 Mo
0.7821 0.3148 0.7741 Mo
0.7917 0.7760 0.3483 Mo
0.0335 0.0985 0.6685 O
0.0917 0.7196 0.0648 O
0.1057 0.5854 0.3499 O
0.1290 0.6654 0.6636 O
0.1552 0.3654 0.5303 O
0.2796 0.9618 0.8736 O
0.3101 0.3360 0.8464 O
0.3385 0.1135 0.5566 O
0.3434 0.5458 0.1557 O
0.3460 0.8743 0.3248 O
0.4382 0.6864 0.8905 O
0.4403 0.8476 0.6254 O
0.5597 0.1524 0.3746 O
0.5618 0.3136 0.1095 O
0.6540 0.1257 0.6752 O
0.6566 0.4542 0.8443 O
0.6615 0.8865 0.4434 O
0.6899 0.6640 0.1536 O
0.7204 0.0382 0.1264 O
0.8448 0.6346 0.4697 O
0.8710 0.3346 0.3364 O
0.8943 0.4146 0.6501 O
0.9083 0.2804 0.9352 O
0.9665 0.9015 0.3315 O
```